LaTm6Sn4: computed powder diffraction line list (Cu Kα), based on a crystal structure in Alexandria, relaxed with PBE.
Neutral-atom scattering factors, no anomalous dispersion.

Atomic structure:
a = 8.0056 Å, b = 8.0056 Å, c = 8.0056 Å
α = 121.55°, β = 121.55°, γ = 87.34°
Positions (direct):
La (0.0000, 0.0000, 0.0000)
Tm (0.0000, 0.5000, 0.5000)
Tm (0.1490, 0.4814, 0.0000)
Tm (0.4814, 0.1490, 0.0000)
Tm (0.5000, 0.0000, 0.5000)
Tm (0.5186, 0.5186, 0.6677)
Tm (0.8510, 0.8510, 0.3323)
Sn (0.2078, 0.2078, 0.5891)
Sn (0.3813, 0.7922, 0.0000)
Sn (0.6187, 0.6187, 0.4109)
Sn (0.7922, 0.3813, 0.0000)

Most intense lines, 15 to 90 degrees two-theta, in order of rising 2θ:
| two_theta | I/Imax |
| --- | --- |
| 25.7 | 58 |
| 26.6 | 100 |
| 27.5 | 59 |
| 32.4 | 73 |
| 34.6 | 44 |
| 35.0 | 99 |
| 35.3 | 61 |
| 36.3 | 45 |
| 38.7 | 50 |
| 62.0 | 57 |

---

La2TmSn: computed powder diffraction line list (Cu Kα), based on a crystal structure in Alexandria, relaxed with PBE.
Neutral-atom scattering factors, no anomalous dispersion.

Atomic structure:
a = 6.9728 Å, b = 6.9728 Å, c = 6.9728 Å
α = 121.46°, β = 99.51°, γ = 108.24°
Positions (direct):
La (0.2976, 0.0000, 0.7976)
La (0.2976, 0.5000, 0.2976)
La (0.7024, 0.0000, 0.2024)
La (0.7024, 0.5000, 0.7024)
Tm (0.1833, 0.4333, 0.7500)
Tm (0.8167, 0.5667, 0.2500)
Sn (0.2006, 0.9506, 0.2500)
Sn (0.7994, 0.0494, 0.7500)

Most intense lines, 15 to 90 degrees two-theta, in order of rising 2θ:
| two_theta | I/Imax |
| --- | --- |
| 29.5 | 96 |
| 30.1 | 33 |
| 31.7 | 42 |
| 32.9 | 100 |
| 34.3 | 80 |
| 34.4 | 38 |
| 52.7 | 44 |
| 53.7 | 33 |
| 61.7 | 21 |
| 62.5 | 23 |

---

La3Tm4Sn4: computed powder diffraction line list (Cu Kα), based on a crystal structure in Alexandria, relaxed with PBE.
Neutral-atom scattering factors, no anomalous dispersion.

Atomic structure:
a = 10.7935 Å, b = 6.9954 Å, c = 6.9954 Å
α = 40.69°, β = 90.00°, γ = 90.00°
Positions (direct):
La (0.0000, 0.0000, 0.0000)
La (0.3207, 0.1043, 0.1043)
La (0.6793, 0.1043, 0.1043)
Tm (0.0000, 0.2937, 0.2937)
Tm (0.2482, 0.8090, 0.8090)
Tm (0.5000, 0.3907, 0.3907)
Tm (0.7518, 0.8090, 0.8090)
Sn (0.0000, 0.6657, 0.6657)
Sn (0.2195, 0.4448, 0.4448)
Sn (0.5000, 0.6977, 0.6977)
Sn (0.7805, 0.4448, 0.4448)

Most intense lines, 15 to 90 degrees two-theta, in order of rising 2θ:
| two_theta | I/Imax |
| --- | --- |
| 27.4 | 30 |
| 28.3 | 12 |
| 28.7 | 22 |
| 31.7 | 26 |
| 32.1 | 100 |
| 33.2 | 25 |
| 37.0 | 34 |
| 47.2 | 10 |
| 50.5 | 16 |
| 63.6 | 14 |

---

La2YSn3: computed powder diffraction line list (Cu Kα), based on a crystal structure in Alexandria, relaxed with PBE.
Neutral-atom scattering factors, no anomalous dispersion.

Atomic structure:
a = 7.0829 Å, b = 7.0829 Å, c = 7.0829 Å
α = 136.18°, β = 125.85°, γ = 72.11°
Positions (direct):
La (0.1737, 0.1737, 0.0000)
La (0.8263, 0.8263, 0.0000)
Y (0.5000, 0.5000, 0.0000)
Sn (0.0000, 0.5000, 0.5000)
Sn (0.3566, 0.8566, 0.5000)
Sn (0.6434, 0.1434, 0.5000)

Most intense lines, 15 to 90 degrees two-theta, in order of rising 2θ:
| two_theta | I/Imax |
| --- | --- |
| 27.7 | 60 |
| 28.8 | 100 |
| 33.9 | 35 |
| 40.4 | 81 |
| 44.3 | 34 |
| 56.0 | 13 |
| 57.6 | 14 |
| 65.1 | 20 |
| 65.3 | 20 |
| 67.1 | 15 |

---

La3Y2Sn3: computed powder diffraction line list (Cu Kα), based on a crystal structure in Alexandria, relaxed with PBE.
Neutral-atom scattering factors, no anomalous dispersion.

Atomic structure:
a = 9.3299 Å, b = 9.3299 Å, c = 6.7487 Å
α = 90.00°, β = 90.00°, γ = 120.00°
Positions (direct):
La (0.0000, 0.2459, 0.2500)
La (0.0000, 0.7541, 0.7500)
La (0.2459, 0.0000, 0.2500)
La (0.2459, 0.2459, 0.7500)
La (0.7541, 0.0000, 0.7500)
La (0.7541, 0.7541, 0.2500)
Y (0.3333, 0.6667, 0.0000)
Y (0.3333, 0.6667, 0.5000)
Y (0.6667, 0.3333, 0.0000)
Y (0.6667, 0.3333, 0.5000)
Sn (0.0000, 0.3976, 0.7500)
Sn (0.0000, 0.6024, 0.2500)
Sn (0.3976, 0.0000, 0.7500)
Sn (0.3976, 0.3976, 0.2500)
Sn (0.6024, 0.0000, 0.2500)
Sn (0.6024, 0.6024, 0.7500)

Most intense lines, 15 to 90 degrees two-theta, in order of rising 2θ:
| two_theta | I/Imax |
| --- | --- |
| 26.4 | 25 |
| 29.2 | 22 |
| 32.2 | 100 |
| 32.8 | 55 |
| 33.3 | 30 |
| 42.5 | 14 |
| 50.4 | 29 |
| 52.8 | 11 |
| 63.9 | 15 |
| 65.2 | 14 |

---

La3Zn2Sn2: computed powder diffraction line list (Cu Kα), based on a crystal structure in Alexandria, relaxed with PBE.
Neutral-atom scattering factors, no anomalous dispersion.

Atomic structure:
a = 10.2832 Å, b = 10.2832 Å, c = 10.2832 Å
α = 154.74°, β = 154.29°, γ = 36.36°
Positions (direct):
La (0.0000, 0.0000, 0.0000)
La (0.1837, 0.6837, 0.5000)
La (0.8163, 0.3163, 0.5000)
Zn (0.4381, 0.4381, 0.0000)
Zn (0.5619, 0.5619, 0.0000)
Sn (0.3588, 0.8588, 0.5000)
Sn (0.6412, 0.1412, 0.5000)

Most intense lines, 15 to 90 degrees two-theta, in order of rising 2θ:
| two_theta | I/Imax |
| --- | --- |
| 27.4 | 21 |
| 29.3 | 100 |
| 30.1 | 51 |
| 33.4 | 48 |
| 37.9 | 37 |
| 39.4 | 53 |
| 40.1 | 31 |
| 50.9 | 23 |
| 55.8 | 24 |
| 57.5 | 21 |